# 1
Cs8Tl8O: calculated XRD peak list (λ = 1.5418 Å (Cu Kα)), based on the PBE geometry in Alexandria.

```
Cs8Tl8O
1.0
4.5780 2.6431 11.0896
-4.5780 2.6431 11.0896
0.0000 -5.2862 11.0896
Cs Tl O
8 8 1
Direct
0.0388 0.6492 0.1679 Cs
0.1679 0.0388 0.6492 Cs
0.1729 0.1729 0.1729 Cs
0.3508 0.8321 0.9612 Cs
0.6492 0.1679 0.0388 Cs
0.8271 0.8271 0.8271 Cs
0.8321 0.9612 0.3508 Cs
0.9612 0.3508 0.8321 Cs
0.2551 0.6753 0.4532 Tl
0.3247 0.5468 0.7449 Tl
0.3830 0.3830 0.3830 Tl
0.4532 0.2551 0.6753 Tl
0.5468 0.7449 0.3247 Tl
0.6170 0.6170 0.6170 Tl
0.6753 0.4532 0.2551 Tl
0.7449 0.3247 0.5468 Tl
0.0000 0.0000 0.0000 O
```

The 12 most intense peaks (2θ from 10° to 90°), by angle:
| 2theta | Rel. int. |
| --- | --- |
| 11.47 | 76 |
| 12.37 | 72 |
| 24.88 | 73 |
| 25.23 | 100 |
| 26.16 | 68 |
| 30.30 | 68 |
| 31.13 | 38 |
| 31.72 | 88 |
| 32.29 | 35 |
| 36.95 | 45 |
| 40.51 | 31 |
| 46.68 | 43 |

# 2
CsTl3O3: calculated XRD peak list (λ = 1.5418 Å (Cu Kα)), based on the PBE geometry in Alexandria.

```
CsTl3O3
1.0
3.8688 2.2336 7.2751
-3.8688 2.2336 7.2751
0.0000 -4.4673 7.2751
Cs Tl O
2 6 6
Direct
0.1969 0.1969 0.1969 Cs
0.8031 0.8031 0.8031 Cs
0.2347 0.2347 0.6858 Tl
0.2347 0.6858 0.2347 Tl
0.3142 0.7653 0.7653 Tl
0.6858 0.2347 0.2347 Tl
0.7653 0.3142 0.7653 Tl
0.7653 0.7653 0.3142 Tl
0.1013 0.1013 0.6291 O
0.1013 0.6291 0.1013 O
0.3709 0.8987 0.8987 O
0.6291 0.1013 0.1013 O
0.8987 0.3709 0.8987 O
0.8987 0.8987 0.3709 O
```

The 12 most intense peaks (2θ from 10° to 90°), by angle:
| 2theta | Rel. int. |
| --- | --- |
| 12.17 | 37 |
| 24.34 | 39 |
| 26.09 | 30 |
| 27.86 | 100 |
| 31.33 | 28 |
| 35.69 | 16 |
| 37.07 | 15 |
| 39.48 | 22 |
| 42.33 | 17 |
| 46.97 | 31 |
| 53.66 | 20 |
| 61.30 | 16 |

# 3
Cs2TlO: calculated XRD peak list (λ = 1.5418 Å (Cu Kα)), based on the PBE geometry in Alexandria.

```
Cs2TlO
1.0
3.9333 0.0000 0.0000
1.9666 3.4081 0.0000
0.0351 -0.0079 11.1665
Cs Tl O
2 1 1
Direct
0.0000 0.0000 0.0000 Cs
0.0049 0.9991 0.6916 Cs
0.3304 0.3412 0.3458 Tl
0.3358 0.3331 0.8458 O
```

The 12 most intense peaks (2θ from 10° to 90°), by angle:
| 2theta | Rel. int. |
| --- | --- |
| 23.91 | 54 |
| 26.15 | 40 |
| 27.37 | 100 |
| 30.74 | 69 |
| 35.70 | 20 |
| 41.80 | 33 |
| 41.89 | 16 |
| 46.15 | 33 |
| 52.59 | 26 |
| 52.69 | 13 |
| 54.48 | 15 |
| 74.11 | 13 |

# 4
CsTmTlO3: calculated XRD peak list (λ = 1.5418 Å (Cu Kα)), based on the PBE geometry in Alexandria.

```
CsTmTlO3
1.0
7.5069 0.0000 0.0000
0.0000 3.5266 0.0000
-2.3217 0.0000 10.7741
Cs Tm Tl O
2 2 2 6
Direct
0.0390 0.2500 0.3240 Cs
0.9610 0.7500 0.6760 Cs
0.4702 0.2500 0.6228 Tm
0.5298 0.7500 0.3772 Tm
0.4472 0.7500 0.8810 Tl
0.5528 0.2500 0.1190 Tl
0.2918 0.2500 0.7767 O
0.3408 0.7500 0.5068 O
0.3895 0.2500 0.2624 O
0.6105 0.7500 0.7376 O
0.6592 0.2500 0.4932 O
0.7082 0.7500 0.2233 O
```

The 12 most intense peaks (2θ from 10° to 90°), by angle:
| 2theta | Rel. int. |
| --- | --- |
| 12.06 | 100 |
| 13.09 | 15 |
| 18.26 | 14 |
| 24.26 | 53 |
| 30.29 | 23 |
| 31.34 | 49 |
| 32.92 | 16 |
| 33.26 | 18 |
| 34.03 | 70 |
| 37.01 | 15 |
| 44.42 | 21 |
| 45.34 | 14 |

# 5
CsU2TlO7: calculated XRD peak list (λ = 1.5418 Å (Cu Kα)), based on the PBE geometry in Alexandria.

```
CsU2TlO7
1.0
4.3021 0.0000 0.0000
0.0000 4.3021 0.0000
0.0000 0.0000 11.1568
Cs U Tl O
1 2 1 7
Direct
0.0000 0.0000 0.0000 Cs
0.5000 0.5000 0.3056 U
0.5000 0.5000 0.6944 U
0.0000 0.0000 0.5000 Tl
0.0000 0.5000 0.3111 O
0.0000 0.5000 0.6889 O
0.5000 0.0000 0.3111 O
0.5000 0.0000 0.6889 O
0.5000 0.5000 0.1359 O
0.5000 0.5000 0.5000 O
0.5000 0.5000 0.8641 O
```

The 12 most intense peaks (2θ from 10° to 90°), by angle:
| 2theta | Rel. int. |
| --- | --- |
| 26.16 | 100 |
| 29.36 | 50 |
| 31.81 | 24 |
| 42.00 | 26 |
| 44.05 | 9 |
| 48.95 | 9 |
| 50.16 | 35 |
| 50.74 | 9 |
| 53.63 | 12 |
| 69.04 | 9 |
| 82.71 | 9 |
| 86.12 | 10 |